No. 1
The following is a computed powder diffraction line list of Li3CrP2O9. It was derived from a structure optimized by DFT (GGA+U), using a wavelength of 1.5418 Å.

Main lines, by angle (2θ = 10–80°):
- 2θ 12.56, intensity 1000
- 2θ 15.16, intensity 234
- 2θ 19.91, intensity 162
- 2θ 20.10, intensity 209
- 2θ 21.50, intensity 210
- 2θ 29.01, intensity 222
- 2θ 29.14, intensity 217
- 2θ 31.31, intensity 130
- 2θ 32.28, intensity 139
- 2θ 33.14, intensity 275

Atomic structure:
```
Li3CrP2O9
1.0
6.824 0.000 0.000
0.000 8.839 0.000
-0.109 0.000 11.685
Li Cr P O
12 4 8 36
direct
0.107 0.000 0.079
0.184 0.144 0.491
0.241 0.295 0.243
0.260 0.484 0.744
0.317 0.635 0.992
0.393 0.779 0.579
0.607 0.279 0.421
0.683 0.135 0.008
0.740 0.984 0.256
0.759 0.795 0.757
0.816 0.644 0.509
0.893 0.500 0.921
0.021 0.635 0.247
0.481 0.145 0.745
0.519 0.645 0.255
0.979 0.135 0.753
0.231 0.261 0.961
0.235 0.853 0.831
0.264 0.926 0.332
0.269 0.517 0.462
0.731 0.017 0.538
0.736 0.426 0.668
0.765 0.353 0.169
0.769 0.761 0.039
0.041 0.923 0.777
0.046 0.173 0.911
0.077 0.588 0.407
0.086 0.849 0.267
0.208 0.429 0.931
0.234 0.221 0.088
0.237 0.182 0.707
0.243 0.684 0.807
0.246 0.877 0.961
0.253 0.902 0.461
0.256 0.094 0.306
0.267 0.558 0.588
0.285 0.597 0.204
0.290 0.349 0.431
0.412 0.926 0.765
0.422 0.191 0.909
0.451 0.607 0.412
0.456 0.859 0.277
0.544 0.359 0.723
0.549 0.107 0.588
0.578 0.691 0.091
0.588 0.426 0.235
0.710 0.849 0.569
0.715 0.097 0.796
0.733 0.058 0.412
0.744 0.594 0.694
0.747 0.402 0.539
0.754 0.377 0.039
0.757 0.184 0.193
0.763 0.682 0.293
0.766 0.721 0.912
0.792 0.929 0.069
0.914 0.349 0.733
0.923 0.088 0.593
0.954 0.673 0.089
0.959 0.423 0.223
```

***

No. 2
The following is a computed powder diffraction line list of MgFe4P4O16. It was derived from a structure optimized by DFT (GGA+U), using a wavelength of 1.5418 Å.

Main lines, by angle (2θ = 10–80°):
- 2θ 17.46, intensity 636
- 2θ 19.87, intensity 489
- 2θ 20.49, intensity 477
- 2θ 22.95, intensity 364
- 2θ 24.94, intensity 489
- 2θ 25.27, intensity 362
- 2θ 29.83, intensity 1000
- 2θ 35.02, intensity 835
- 2θ 36.02, intensity 437
- 2θ 36.22, intensity 477

Atomic structure:
```
MgFe4P4O16
1.0
4.886 0.000 0.000
-0.048 5.990 0.000
-0.397 -0.017 10.157
Mg Fe P O
1 4 4 16
direct
0.000 0.000 0.000
0.031 0.254 0.291
0.480 0.256 0.765
0.520 0.744 0.235
0.969 0.746 0.709
0.080 0.753 0.406
0.410 0.754 0.901
0.590 0.246 0.099
0.920 0.247 0.594
0.176 0.752 0.553
0.209 0.547 0.332
0.213 0.958 0.333
0.229 0.247 0.607
0.244 0.960 0.838
0.276 0.226 0.112
0.277 0.559 0.822
0.321 0.759 0.046
0.679 0.241 0.954
0.723 0.441 0.178
0.724 0.774 0.888
0.756 0.040 0.162
0.771 0.753 0.393
0.787 0.042 0.667
0.791 0.453 0.668
0.824 0.248 0.447
```

***

No. 3
The following is a computed powder diffraction line list of Li4Ti3V2Sn3O16. It was derived from a structure optimized by DFT (GGA+U), using a wavelength of 1.5418 Å.

Main lines, by angle (2θ = 10–80°):
- 2θ 16.60, intensity 230
- 2θ 17.90, intensity 1000
- 2θ 18.85, intensity 337
- 2θ 18.95, intensity 605
- 2θ 34.38, intensity 320
- 2θ 34.89, intensity 672
- 2θ 43.56, intensity 241
- 2θ 43.77, intensity 358
- 2θ 58.17, intensity 230
- 2θ 60.04, intensity 268

Atomic structure:
```
Li4Ti3V2Sn3O16
1.0
5.345 -3.070 0.000
5.345 3.070 0.000
-0.095 0.000 9.913
Li Ti V Sn O
4 3 2 3 16
direct
0.000 0.000 0.000
0.001 0.001 0.494
0.322 0.322 0.385
0.656 0.656 0.893
0.160 0.160 0.715
0.329 0.824 0.214
0.824 0.329 0.214
0.321 0.321 0.990
0.655 0.655 0.484
0.159 0.653 0.714
0.653 0.159 0.714
0.823 0.823 0.209
0.027 0.465 0.834
0.151 0.151 0.109
0.161 0.677 0.102
0.310 0.843 0.606
0.317 0.317 0.598
0.465 0.027 0.834
0.473 0.473 0.840
0.501 0.954 0.330
0.511 0.511 0.325
0.650 0.650 0.102
0.677 0.161 0.102
0.836 0.836 0.594
0.843 0.310 0.606
0.954 0.501 0.330
0.998 0.998 0.311
0.998 0.998 0.818
```

***

No. 4
The following is a computed powder diffraction line list of FeOF. It was derived from a structure optimized by DFT (GGA+U), using a wavelength of 1.5418 Å.

Main lines, by angle (2θ = 10–80°):
- 2θ 26.72, intensity 1000
- 2θ 34.53, intensity 567
- 2θ 39.61, intensity 193
- 2θ 42.83, intensity 79
- 2θ 52.39, intensity 590
- 2θ 55.04, intensity 163
- 2θ 59.43, intensity 100
- 2θ 66.31, intensity 125
- 2θ 66.56, intensity 110
- 2θ 66.69, intensity 87

Atomic structure:
```
FeOF
1.0
14.142 0.000 0.000
0.000 3.111 0.000
-0.023 0.000 14.172
Fe O F
18 18 18
direct
0.000 0.000 0.000
0.000 0.000 0.329
0.190 0.500 0.496
0.190 0.500 0.832
0.195 0.500 0.165
0.332 0.000 0.664
0.336 0.000 0.995
0.338 0.000 0.336
0.502 0.500 0.850
0.508 0.500 0.484
0.522 0.500 0.164
0.663 0.000 0.332
0.663 0.000 0.997
0.674 0.000 0.668
0.856 0.500 0.164
0.858 0.500 0.495
0.858 0.500 0.832
0.998 0.000 0.664
0.239 0.000 0.434
0.244 0.000 0.770
0.246 0.000 0.102
0.276 0.500 0.938
0.279 0.500 0.602
0.281 0.500 0.269
0.405 0.500 0.395
0.440 0.000 0.902
0.575 0.000 0.437
0.576 0.000 0.101
0.612 0.500 0.269
0.614 0.500 0.931
0.909 0.000 0.102
0.909 0.000 0.768
0.910 0.000 0.434
0.944 0.500 0.602
0.947 0.500 0.268
0.947 0.500 0.937
0.076 0.500 0.399
0.076 0.500 0.733
0.079 0.500 0.068
0.111 0.000 0.566
0.111 0.000 0.900
0.115 0.000 0.233
0.410 0.500 0.069
0.413 0.500 0.730
0.445 0.000 0.230
0.445 0.000 0.567
0.571 0.000 0.769
0.605 0.500 0.600
0.743 0.500 0.065
0.743 0.500 0.401
0.743 0.500 0.737
0.776 0.000 0.564
0.778 0.000 0.233
0.779 0.000 0.900
```

***

No. 5
The following is a computed powder diffraction line list of Na3CrSiBO7. It was derived from a structure optimized by DFT (GGA+U), using a wavelength of 1.5418 Å.

Main lines, by angle (2θ = 10–80°):
- 2θ 16.88, intensity 454
- 2θ 19.09, intensity 238
- 2θ 19.73, intensity 263
- 2θ 25.53, intensity 242
- 2θ 27.52, intensity 675
- 2θ 29.93, intensity 333
- 2θ 33.70, intensity 1000
- 2θ 33.90, intensity 257
- 2θ 34.12, intensity 800
- 2θ 56.80, intensity 282

Atomic structure:
```
Na3CrSiBO7
1.0
5.323 0.000 0.000
0.000 6.483 0.000
-0.331 0.000 8.953
Na Cr Si B O
6 2 2 2 14
direct
0.000 0.000 0.000
0.019 0.258 0.659
0.019 0.742 0.659
0.505 0.242 0.181
0.505 0.758 0.181
0.525 0.500 0.840
0.550 0.000 0.587
0.974 0.500 0.253
0.044 0.000 0.348
0.480 0.500 0.492
0.035 0.500 0.987
0.492 0.000 0.854
0.075 0.500 0.840
0.179 0.500 0.444
0.227 0.500 0.101
0.299 0.000 0.739
0.345 0.000 0.396
0.448 0.000 0.000
0.546 0.300 0.601
0.546 0.700 0.601
0.654 0.500 0.346
0.727 0.000 0.789
0.799 0.500 0.053
0.869 0.000 0.495
0.978 0.200 0.240
0.978 0.800 0.240
```

***

No. 6
The following is a computed powder diffraction line list of CrH8C4NO10. It was derived from a structure optimized by DFT (GGA+U), using a wavelength of 1.5418 Å.

Main lines, by angle (2θ = 10–80°):
- 2θ 17.81, intensity 574
- 2θ 19.77, intensity 1000
- 2θ 25.99, intensity 156
- 2θ 27.46, intensity 603
- 2θ 29.97, intensity 291
- 2θ 31.27, intensity 212
- 2θ 40.46, intensity 165
- 2θ 42.46, intensity 178
- 2θ 42.62, intensity 168
- 2θ 45.21, intensity 125

Atomic structure:
```
CrH8C4NO10
1.0
3.420 -3.630 0.000
3.420 3.630 0.000
-0.044 0.000 10.457
Cr H C N O
1 8 4 1 10
direct
0.000 0.000 0.000
0.226 0.454 0.098
0.348 0.580 0.547
0.399 0.399 0.416
0.454 0.226 0.098
0.548 0.775 0.901
0.580 0.348 0.547
0.634 0.634 0.462
0.775 0.548 0.901
0.027 0.241 0.755
0.241 0.027 0.755
0.759 0.974 0.245
0.974 0.759 0.245
0.491 0.491 0.494
0.003 0.617 0.339
0.108 0.745 0.137
0.255 0.893 0.863
0.283 0.283 0.058
0.384 0.994 0.661
0.617 0.003 0.339
0.717 0.717 0.943
0.745 0.108 0.137
0.893 0.255 0.863
0.994 0.384 0.661
```

***

No. 7
The following is a computed powder diffraction line list of BaTbMn2O6. It was derived from a structure optimized by DFT (GGA+U), using a wavelength of 1.5418 Å.

Main lines, by angle (2θ = 10–80°):
- 2θ 22.62, intensity 139
- 2θ 32.07, intensity 192
- 2θ 32.30, intensity 1000
- 2θ 39.67, intensity 111
- 2θ 39.90, intensity 117
- 2θ 46.19, intensity 250
- 2θ 46.43, intensity 113
- 2θ 57.30, intensity 162
- 2θ 57.67, intensity 237
- 2θ 67.57, intensity 132

Atomic structure:
```
BaTbMn2O6
1.0
5.536 0.000 0.000
0.000 7.824 0.000
0.000 0.000 5.582
Ba Tb Mn O
2 2 4 12
direct
0.250 0.000 0.241
0.750 0.000 0.759
0.250 0.500 0.241
0.750 0.500 0.759
0.250 0.258 0.749
0.250 0.742 0.749
0.750 0.258 0.251
0.750 0.742 0.251
0.000 0.254 0.000
0.000 0.307 0.500
0.000 0.693 0.500
0.000 0.746 0.000
0.250 0.000 0.718
0.250 0.500 0.821
0.500 0.254 0.000
0.500 0.307 0.500
0.500 0.693 0.500
0.500 0.746 0.000
0.750 0.000 0.282
0.750 0.500 0.179
```

***

No. 8
The following is a computed powder diffraction line list of Li4Ti3Co3O12. It was derived from a structure optimized by DFT (GGA+U), using a wavelength of 1.5418 Å.

Main lines, by angle (2θ = 10–80°):
- 2θ 17.89, intensity 1000
- 2θ 35.03, intensity 119
- 2θ 35.56, intensity 245
- 2θ 41.81, intensity 232
- 2θ 43.06, intensity 211
- 2θ 43.29, intensity 209
- 2θ 60.78, intensity 56
- 2θ 61.11, intensity 55
- 2θ 62.37, intensity 118
- 2θ 62.71, intensity 108

Atomic structure:
```
Li4Ti3Co3O12
1.0
6.616 0.000 0.000
2.675 7.968 0.000
0.216 0.139 8.642
Li Ti Co O
8 6 6 24
direct
0.000 0.000 0.000
0.000 0.500 0.500
0.004 0.249 0.750
0.342 0.193 0.484
0.344 0.677 0.981
0.656 0.323 0.019
0.658 0.807 0.516
0.996 0.751 0.250
0.005 0.256 0.257
0.343 0.924 0.257
0.354 0.424 0.762
0.646 0.576 0.238
0.657 0.076 0.743
0.995 0.744 0.743
0.000 0.000 0.500
0.000 0.500 0.000
0.332 0.663 0.500
0.335 0.168 0.000
0.665 0.832 0.000
0.668 0.337 0.500
0.002 0.250 0.481
0.020 0.510 0.757
0.030 0.242 0.016
0.033 0.001 0.255
0.305 0.666 0.747
0.321 0.155 0.247
0.336 0.416 0.979
0.339 0.435 0.523
0.339 0.891 0.480
0.340 0.190 0.756
0.342 0.676 0.257
0.358 0.914 0.024
0.642 0.086 0.976
0.658 0.324 0.743
0.660 0.810 0.244
0.661 0.109 0.520
0.661 0.565 0.477
0.664 0.584 0.021
0.679 0.845 0.753
0.695 0.334 0.253
0.967 0.999 0.745
0.970 0.758 0.984
0.980 0.490 0.243
0.998 0.750 0.519
```